Entry 1:
Starting from a cell relaxed with GGA-PBE, the powder diffractogram of Dy2H3O was calculated for Cu Kα (λ = 1.5418 Å).

Structure:
Cell: 5.2731 5.2731 5.2731 Å, 90.00 90.00 90.00°
Space group Pn-3m (No. 224, origin choice 2)
Symmetry-distinct sites (fractional):
Dy 0.0000 0.0000 0.0000 [4 per cell]
H 0.2500 0.2500 0.7500 [6 per cell]
O 0.2500 0.2500 0.2500 [2 per cell]

Top 6 peaks for 2θ from 5° to 70°, by intensity:
h k l  2θ/deg  intensity
1 1 1  29.34  100
2 0 0  34.00  44
3 1 1  58.01  44
2 2 0  48.85  41
2 2 2  60.86  12
1 1 0  23.86  1



Entry 2:
Starting from a cell relaxed with GGA-PBE, the powder diffractogram of LaDyZn2Ge2 was calculated for Cu Kα (λ = 1.5418 Å).

Structure:
Cell: 4.2364 4.2364 8.4199 Å, 90.00 90.00 120.00°
Space group P-3m1 (No. 164)
Symmetry-distinct sites (fractional):
La 0.0000 0.0000 0.0000 [1 per cell]
Dy 0.0000 0.0000 0.5000 [1 per cell]
Zn 0.3333 0.6667 0.7380 [2 per cell]
Ge 0.3333 0.6667 0.2635 [2 per cell]

Top 10 peaks for 2θ from 5° to 70°, by intensity:
h k l  2θ/deg  intensity
1 0 2  32.37  100
1 1 0  42.69  42
1 1 4  62.17  25
0 2 2  54.57  23
0 0 4  42.97  13
1 0 0  24.26  12
0 1 4  49.95  4
0 0 1  10.51  2
2 0 0  49.70  2
2 0 4  67.76  2



Entry 3:
Starting from a cell relaxed with GGA-PBE, the powder diffractogram of Ag7AuF2 was calculated for Cu Kα (λ = 1.5418 Å).

Structure:
Cell: 7.4443 2.9599 8.5003 Å, 90.00 109.89 90.00°
Space group P2/m (No. 10)
Symmetry-distinct sites (fractional):
Ag 0.0000 0.0000 0.0000 [1 per cell]
Ag 0.1479 0.0000 0.3521 [2 per cell]
Ag 0.1889 0.5000 0.6499 [2 per cell]
Ag 0.4139 0.0000 0.1857 [2 per cell]
Au 0.5000 0.5000 0.5000 [1 per cell]
F 0.3022 0.0000 0.8923 [2 per cell]

Top 10 peaks for 2θ from 5° to 70°, by intensity:
h k l  2θ/deg  intensity
3 0 -1  36.23  100
0 0 1  11.07  52
1 1 2  42.55  51
2 1 -2  41.35  39
1 0 -3  31.61  35
0 1 1  32.25  31
1 0 3  40.10  28
2 0 -4  43.87  22
4 1 1  66.44  20
2 1 -3  46.64  17



Entry 4:
Starting from a cell relaxed with GGA-PBE, the powder diffractogram of NbPt3Rh3 was calculated for Cu Kα (λ = 1.5418 Å).

Structure:
Cell: 5.5616 5.5177 7.4916 Å, 90.00 90.48 90.00°
Space group P2/m (No. 10)
Symmetry-distinct sites (fractional):
Nb 0.2497 0.0000 0.2446 [2 per cell]
Pt 0.2276 0.0000 0.7633 [2 per cell]
Pt 0.2280 0.5000 0.2314 [2 per cell]
Pt 0.2499 0.5000 0.7594 [2 per cell]
Rh 0.0000 0.2511 0.5000 [2 per cell]
Rh 0.5000 0.2448 0.5000 [2 per cell]
Rh 0.5000 0.2492 0.0000 [2 per cell]

Top 10 peaks for 2θ from 5° to 70°, by intensity:
h k l  2θ/deg  intensity
0 2 2  40.60  100
2 2 0  46.36  46
2 0 -2  40.23  34
0 0 4  48.61  19
0 0 2  23.75  16
2 2 -4  69.20  13
2 2 4  69.67  12
1 0 -1  19.80  8
0 2 0  32.45  8
2 0 0  32.19  8



Entry 5:
Starting from a cell relaxed with GGA-PBE, the powder diffractogram of La2Pr2Y was calculated for Cu Kα (λ = 1.5418 Å).

Structure:
Cell: 5.9821 7.1267 16.8895 Å, 90.00 90.00 90.00°
Space group Imma (No. 74)
Symmetry-distinct sites (fractional):
La 0.0000 0.2500 0.0086 [4 per cell]
La 0.0000 0.2500 0.3843 [4 per cell]
Pr 0.0000 0.0053 0.8064 [8 per cell]
Y 0.0000 0.2500 0.6110 [4 per cell]

Top 10 peaks for 2θ from 5° to 70°, by intensity:
h k l  2θ/deg  intensity
1 2 3  33.31  100
1 0 5  30.39  94
2 0 0  29.87  55
0 2 2  27.16  49
2 2 2  40.81  34
1 4 5  60.78  26
2 2 8  59.55  26
3 2 3  55.25  23
0 2 8  50.23  22
3 0 5  53.35  19



Entry 6:
Starting from a cell relaxed with GGA-PBE, the powder diffractogram of Pm7Ge3C2 was calculated for Cu Kα (λ = 1.5418 Å).

Structure:
Cell: 5.0090 24.7325 4.8720 Å, 90.00 90.00 90.00°
Space group Cmmm (No. 65)
Symmetry-distinct sites (fractional):
Pm 0.0000 0.0000 0.0000 [2 per cell]
Pm 0.0000 0.0979 0.5000 [4 per cell]
Pm 0.0000 0.2028 0.0000 [4 per cell]
Pm 0.0000 0.3961 0.0000 [4 per cell]
Ge 0.0000 0.3143 0.5000 [4 per cell]
Ge 0.0000 0.5000 0.5000 [2 per cell]
C 0.0000 0.1037 0.0000 [4 per cell]

Top 10 peaks for 2θ from 5° to 70°, by intensity:
h k l  2θ/deg  intensity
1 5 1  31.35  100
2 0 0  35.86  19
0 0 2  36.90  18
0 10 0  36.32  17
3 5 1  61.64  15
1 5 3  63.04  14
2 0 2  52.40  13
2 10 2  65.43  12
2 10 0  51.96  12
0 10 2  52.74  11



Entry 7:
Starting from a cell relaxed with GGA-PBE, the powder diffractogram of NaVNi was calculated for Cu Kα (λ = 1.5418 Å).

Structure:
Cell: 2.6518 2.6518 13.6057 Å, 90.00 90.00 90.00°
Space group I4mm (No. 107)
Symmetry-distinct sites (fractional):
Na 0.0000 0.0000 0.0000 [2 per cell]
V 0.0000 0.0000 0.7099 [2 per cell]
Ni 0.0000 0.0000 0.3266 [2 per cell]

Top 10 peaks for 2θ from 5° to 70°, by intensity:
h k l  2θ/deg  intensity
0 0 2  13.01  100
1 0 3  39.36  97
1 1 0  48.55  31
1 0 5  47.90  28
0 0 6  39.75  12
1 1 2  50.49  11
1 0 7  58.91  11
1 1 6  64.48  10
0 0 8  53.91  6
0 0 4  26.20  5



Entry 8:
Starting from a cell relaxed with GGA-PBE, the powder diffractogram of Li2In3Bi was calculated for Cu Kα (λ = 1.5418 Å).

Structure:
Cell: 5.4138 7.1593 8.2503 Å, 107.99 93.60 102.39°
Space group P-1 (No. 2)
Symmetry-distinct sites (fractional):
Li 0.0614 0.3356 0.3033 [2 per cell]
Li 0.2936 0.6227 0.0534 [2 per cell]
In 0.1201 0.1659 0.9095 [2 per cell]
In 0.2070 0.8746 0.4526 [2 per cell]
In 0.4806 0.0852 0.1981 [2 per cell]
Bi 0.3649 0.4395 0.6708 [2 per cell]

Top 10 peaks for 2θ from 5° to 70°, by intensity:
h k l  2θ/deg  intensity
0 1 -3  32.70  100
2 -1 1  35.65  93
1 2 -1  33.63  93
2 0 -2  38.71  60
1 -2 0  28.19  57
-1 2 1  32.95  50
1 1 2  38.11  48
1 -3 2  40.64  43
-1 1 1  23.16  41
1 0 1  21.74  36